[1]
Starting from a structure optimized by DFT (GGA-PBE), the powder XRD pattern of Dy7Er3Th2 was computed for λ = 1.5418 Å (Cu Kα).
Intensities are scaled so that the largest is 100.

Top 10 peaks for 10° ≤ 2θ ≤ 90°, by intensity:
h k l  d (Å)  I_rel
1 1 2  2.844  100
1 1 -4  2.692  99
0 2 0  2.776  87
0 1 6  2.904  57
1 1 -2  2.961  45
0 1 7  2.585  41
1 0 -5  2.832  38
0 0 7  2.920  35
2 2 -1  1.517  28
1 2 -5  1.982  28

Atomic structure:
Unit cell a=3.622 b=5.551 c=20.525 alpha=90.00 beta=95.11 gamma=90.00
Space group P2/m (No. 10)
Symmetry-distinct sites (fractional):
Dy  0.000  0.000  0.000 (multiplicity 1)
Dy  0.067  0.500  0.131 (multiplicity 2)
Dy  0.286  0.500  0.571 (multiplicity 2)
Dy  0.414  0.000  0.831 (multiplicity 2)
Er  0.170  0.000  0.339 (multiplicity 2)
Er  0.500  0.500  0.000 (multiplicity 1)
Th  0.361  0.500  0.725 (multiplicity 2)

[2]
Starting from a structure optimized by DFT (GGA-PBE), the powder XRD pattern of Dy2Er4Th3 was computed for λ = 1.5418 Å (Cu Kα).
Intensities are scaled so that the largest is 100.

Top 10 peaks for 10° ≤ 2θ ≤ 90°, by intensity:
h k l  d (Å)  I_rel
1 0 5  2.651  100
0 1 4  2.781  68
0 0 9  2.922  50
1 0 0  3.069  46
1 1 9  1.515  43
1 1 0  1.772  38
0 1 14  1.602  31
1 0 9  2.116  31
0 2 5  1.473  17
2 1 5  1.133  15

Atomic structure:
Unit cell a=3.5440 b=3.5440 c=26.2975 alpha=90.00 beta=90.00 gamma=120.00
Space group P3m1 (No. 156)
Symmetry-distinct sites (fractional):
Dy  0.0000  0.0000  0.0000 (multiplicity 1)
Dy  0.0000  0.0000  0.2202 (multiplicity 1)
Er  0.0000  0.0000  0.3463 (multiplicity 1)
Er  0.0000  0.0000  0.5652 (multiplicity 1)
Er  0.3333  0.6667  0.6718 (multiplicity 1)
Er  0.3333  0.6667  0.8921 (multiplicity 1)
Th  0.0000  0.0000  0.7821 (multiplicity 1)
Th  0.3333  0.6667  0.1126 (multiplicity 1)
Th  0.3333  0.6667  0.4533 (multiplicity 1)

[3]
Starting from a structure optimized by DFT (GGA-PBE), the powder XRD pattern of Dy16Er7Th6 was computed for λ = 1.5418 Å (Cu Kα).
Intensities are scaled so that the largest is 100.

Top 10 peaks for 10° ≤ 2θ ≤ 90°, by intensity:
h k l  d (Å)  I_rel
4 4 0  2.755  100
3 3 3  2.999  91
9 3 3  1.566  39
6 0 0  2.597  36
4 2 2  3.181  30
6 6 0  1.837  25
5 3 1  2.634  24
6 2 2  2.349  24
5 5 5  1.800  17
8 0 0  1.948  16

Atomic structure:
Unit cell a=15.585 b=15.585 c=15.585 alpha=90.00 beta=90.00 gamma=90.00
Space group Fm-3m (No. 225)
Symmetry-distinct sites (fractional):
Dy  0.119  0.119  0.119 (multiplicity 32)
Dy  0.158  0.158  0.342 (multiplicity 32)
Er  0.000  0.000  0.000 (multiplicity 4)
Er  0.000  0.250  0.250 (multiplicity 24)
Th  0.000  0.000  0.330 (multiplicity 24)

[4]
Starting from a structure optimized by DFT (GGA-PBE), the powder XRD pattern of DyErTm2Th2 was computed for λ = 1.5418 Å (Cu Kα).
Intensities are scaled so that the largest is 100.

Top 10 peaks for 10° ≤ 2θ ≤ 90°, by intensity:
h k l  d (Å)  I_rel
2 0 -2  2.779  100
0 0 3  2.850  75
2 0 1  2.869  72
1 2 -1  2.910  59
1 2 2  2.386  32
1 2 -2  2.551  24
0 2 2  2.668  24
0 2 1  3.171  22
2 4 1  1.468  22
2 4 -2  1.455  22

Atomic structure:
Unit cell a=6.501 b=6.832 c=8.647 alpha=90.00 beta=98.64 gamma=90.00
Space group P2_1/m (No. 11)
Symmetry-distinct sites (fractional):
Dy  0.182  0.250  0.147 (multiplicity 2)
Er  0.485  0.250  0.494 (multiplicity 2)
Tm  0.305  0.000  0.818 (multiplicity 4)
Th  0.013  0.750  0.496 (multiplicity 2)
Th  0.202  0.750  0.161 (multiplicity 2)

[5]
Starting from a structure optimized by DFT (GGA-PBE), the powder XRD pattern of Dy2ErTmTh was computed for λ = 1.5418 Å (Cu Kα).
Intensities are scaled so that the largest is 100.

Top 10 peaks for 10° ≤ 2θ ≤ 90°, by intensity:
h k l  d (Å)  I_rel
1 2 0  2.951  100
2 1 1  2.941  75
2 1 -1  3.160  64
0 0 2  3.124  50
0 1 2  2.799  45
1 1 2  2.585  44
2 0 0  4.184  41
1 1 -2  2.730  38
3 0 0  2.789  37
2 2 0  2.519  37

Atomic structure:
Unit cell a=8.410 b=6.308 c=6.280 alpha=90.00 beta=95.79 gamma=90.00
Space group P2/c (No. 13)
Symmetry-distinct sites (fractional):
Dy  0.189  0.204  0.280 (multiplicity 4)
Er  0.000  0.314  0.750 (multiplicity 2)
Tm  0.500  0.500  0.000 (multiplicity 2)
Th  0.500  0.054  0.750 (multiplicity 2)

[6]
Starting from a structure optimized by DFT (GGA-PBE), the powder XRD pattern of Dy3ErTmTh was computed for λ = 1.5418 Å (Cu Kα).
Intensities are scaled so that the largest is 100.

Top 10 peaks for 10° ≤ 2θ ≤ 90°, by intensity:
h k l  d (Å)  I_rel
5 1 1  2.855  100
3 1 -2  2.759  94
0 2 0  2.703  56
8 0 -1  2.647  34
7 1 0  2.672  30
8 2 -1  1.891  27
3 3 -2  1.571  19
5 3 1  1.588  18
2 0 3  2.093  17
2 2 3  1.654  15

Atomic structure:
Unit cell a=21.811 b=5.405 c=6.702 alpha=90.00 beta=99.43 gamma=90.00
Space group C2/m (No. 12)
Symmetry-distinct sites (fractional):
Dy  0.027  0.000  0.272 (multiplicity 4)
Dy  0.164  0.500  0.260 (multiplicity 4)
Dy  0.224  0.500  0.806 (multiplicity 4)
Er  0.132  0.000  0.957 (multiplicity 4)
Tm  0.169  0.000  0.522 (multiplicity 4)
Th  0.067  0.500  0.673 (multiplicity 4)

[7]
Starting from a structure optimized by DFT (GGA-PBE), the powder XRD pattern of Dy2ErTm5Th was computed for λ = 1.5418 Å (Cu Kα).
Intensities are scaled so that the largest is 100.

Top 10 peaks for 10° ≤ 2θ ≤ 90°, by intensity:
h k l  d (Å)  I_rel
2 0 4  2.815  100
2 2 0  3.082  54
2 1 3  3.055  41
4 2 4  1.723  23
4 0 2  2.091  22
3 2 1  2.386  17
3 1 0  2.757  16
2 2 8  1.582  13
0 0 8  1.843  11
2 1 5  2.352  11

Atomic structure:
Unit cell a=8.717 b=8.717 c=14.748 alpha=90.00 beta=90.00 gamma=90.00
Space group I4/mcm (No. 140)
Symmetry-distinct sites (fractional):
Dy  0.114  0.386  0.000 (multiplicity 8)
Er  0.000  0.500  0.250 (multiplicity 4)
Tm  0.000  0.000  0.000 (multiplicity 4)
Tm  0.209  0.291  0.364 (multiplicity 16)
Th  0.000  0.000  0.250 (multiplicity 4)

[8]
Starting from a structure optimized by DFT (GGA-PBE), the powder XRD pattern of DyEr2Tm2Th was computed for λ = 1.5418 Å (Cu Kα).
Intensities are scaled so that the largest is 100.

Top 10 peaks for 10° ≤ 2θ ≤ 90°, by intensity:
h k l  d (Å)  I_rel
0 0 3  2.919  100
2 0 1  2.883  99
1 2 -1  2.855  89
1 2 2  2.381  69
2 0 -2  2.769  59
0 2 1  3.114  38
3 2 3  1.458  31
0 2 2  2.649  30
1 2 -2  2.524  29
0 4 3  1.447  24

Atomic structure:
Unit cell a=6.461 b=6.663 c=8.837 alpha=90.00 beta=97.79 gamma=90.00
Space group P2_1/m (No. 11)
Symmetry-distinct sites (fractional):
Dy  0.194  0.250  0.167 (multiplicity 2)
Er  0.086  0.750  0.524 (multiplicity 2)
Er  0.179  0.750  0.159 (multiplicity 2)
Tm  0.314  0.003  0.843 (multiplicity 4)
Th  0.431  0.250  0.530 (multiplicity 2)